Starting from a cell relaxed with PBE, the XRD peak list of CaAc2Al6 was simulated for Cu Kα, 1.54184 Å.
Intensities are scaled so that the largest is 100.

Most intense lines, 2θ = 5–70°, sorted by position:
2θ (°)  I/Imax  h k l
13.98  22.2  0 0 1
15.85  41.1  1 0 0
21.19  100.0  1 0 1
27.63  70.9  1 1 0
31.09  60.6  1 1 1
32.48  94.9  0 1 2
35.08  65.8  0 2 1
45.23  42.7  2 1 1
51.72  23.0  1 1 3
52.02  40.0  1 2 2

Structure:
a b c (Å): 6.4563 6.4563 6.3360
angles (deg): 90.00 90.00 120.00
Space group P-3m1 (No. 164)
Unique sites:
Ca: 0.0000 0.0000 0.0000 (multiplicity 1)
Ac: 0.3333 0.6667 0.1483 (multiplicity 2)
Al: 0.1906 0.3812 0.6402 (multiplicity 6)

=====

Starting from a cell relaxed with PBE, the XRD peak list of Nd2Tm3Cd2 was simulated for Cu Kα, 1.54184 Å.
Intensities are scaled so that the largest is 100.

Most intense lines, 2θ = 5–70°, sorted by position:
2θ (°)  I/Imax  h k l
26.56  7.8  0 1 5
32.34  95.9  1 0 7
33.03  100.0  1 1 0
40.18  2.4  1 1 6
46.90  34.0  0 2 7
57.25  20.6  0 1 14
58.56  34.9  2 1 7
58.99  18.8  3 0 0
67.70  8.3  2 0 14
69.29  11.6  2 2 0

Structure:
a b c (Å): 5.4242 5.4242 23.9815
angles (deg): 90.00 90.00 120.00
Space group R-3m (No. 166, hexagonal axes)
Unique sites:
Nd: 0.0000 0.0000 0.0756 (multiplicity 6)
Tm: 0.0000 0.0000 0.3454 (multiplicity 6)
Tm: 0.0000 0.0000 0.5000 (multiplicity 3)
Cd: 0.0000 0.0000 0.2139 (multiplicity 6)